The following is a theoretical powder XRD pattern of LiMn2F5. It was derived from a DFT-relaxed cell (GGA+U, Alexandria), using λ = 1.5418 Å (Cu Kα).
Neutral-atom scattering factors, no anomalous dispersion.

Largest 8 diffraction maxima, by intensity, 10° ≤ 2θ ≤ 90°:
25.19 deg, I 1000, (1 1 1); 31.03 deg, I 778, (3 1 -1); 45.32 deg, I 654, (4 0 2); 27.89 deg, I 402, (4 0 0); 32.67 deg, I 356, (3 1 1); 48.80 deg, I 337, (0 2 2); 41.81 deg, I 318, (2 2 1); 54.67 deg, I 235, (1 1 3)

Structure:
Lattice parameters (Å, degrees): 12.831 5.132 5.453 90.00 94.23 90.00
Space group C2/c (No. 15)
Symmetry-distinct sites (fractional):
Li1 0.250 0.250 0.000 (multiplicity 4)
Mn1 0.102 0.224 0.552 (multiplicity 8)
F1 0.000 0.052 0.250 (multiplicity 4)
F2 0.099 0.397 0.906 (multiplicity 8)
F3 0.207 0.061 0.306 (multiplicity 8)

---

The following is a theoretical powder XRD pattern of LiMnF3. It was derived from a DFT-relaxed cell (GGA+U, Alexandria), using λ = 1.5418 Å (Cu Kα).
Neutral-atom scattering factors, no anomalous dispersion.

Largest 8 diffraction maxima, by intensity, 10° ≤ 2θ ≤ 90°:
22.62 deg, I 1000, (0 1 2); 49.44 deg, I 497, (2 -1 6); 30.28 deg, I 389, (1 0 4); 38.35 deg, I 363, (2 -1 3); 60.88 deg, I 212, (3 0 0); 46.18 deg, I 169, (0 2 4); 41.24 deg, I 157, (2 0 2); 54.49 deg, I 144, (1 2 2)

Structure:
Lattice parameters (Å, degrees): 5.2710 5.2710 15.4758 90.00 90.00 120.00
Space group P-3 (No. 147)
Symmetry-distinct sites (fractional):
Li1 0.0000 0.0000 0.1712 (multiplicity 2)
Li2 0.0000 0.0000 0.3271 (multiplicity 2)
Li3 0.3333 0.6667 0.3581 (multiplicity 2)
Mn1 0.0000 0.0000 0.0000 (multiplicity 1)
Mn2 0.0000 0.0000 0.5000 (multiplicity 1)
Mn3 0.3333 0.6667 0.1557 (multiplicity 2)
Mn4 0.3333 0.6667 0.6734 (multiplicity 2)
F1 0.0060 0.6933 0.5927 (multiplicity 6)
F2 0.0143 0.3000 0.0972 (multiplicity 6)
F3 0.0283 0.6910 0.2617 (multiplicity 6)

---

The following is a theoretical powder XRD pattern of LiMn2F5. It was derived from a DFT-relaxed cell (GGA+U, Alexandria), using λ = 1.5418 Å (Cu Kα).
Neutral-atom scattering factors, no anomalous dispersion.

Largest 8 diffraction maxima, by intensity, 10° ≤ 2θ ≤ 90°:
14.28 deg, I 1000, (1 1 0); 16.88 deg, I 869, (0 1 1); 17.02 deg, I 763, (1 0 1); 30.99 deg, I 746, (1 1 2); 22.51 deg, I 415, (1 2 0); 50.58 deg, I 360, (4 0 2); 32.59 deg, I 355, (3 1 0); 35.93 deg, I 346, (2 1 2)

Structure:
Lattice parameters (Å, degrees): 8.668 8.873 6.519 90.00 90.00 90.00
Space group Pnnm (No. 58)
Symmetry-distinct sites (fractional):
Li1 0.246 0.238 0.000 (multiplicity 4)
Mn1 0.000 0.000 0.252 (multiplicity 4)
Mn2 0.141 0.628 0.000 (multiplicity 4)
F1 0.075 0.861 0.500 (multiplicity 4)
F2 0.084 0.863 0.000 (multiplicity 4)
F3 0.100 0.393 0.000 (multiplicity 4)
F4 0.217 0.123 0.245 (multiplicity 8)

---

The following is a theoretical powder XRD pattern of Li10Mn3F16. It was derived from a DFT-relaxed cell (GGA+U, Alexandria), using λ = 1.5418 Å (Cu Kα).
Neutral-atom scattering factors, no anomalous dispersion.

Largest 8 diffraction maxima, by intensity, 10° ≤ 2θ ≤ 90°:
22.90 deg, I 1000, (0 1 5); 42.57 deg, I 794, (2 0 8); 29.41 deg, I 685, (1 1 0); 61.02 deg, I 652, (2 2 0); 62.53 deg, I 561, (0 2 16); 17.14 deg, I 539, (1 0 1); 34.96 deg, I 536, (1 1 6); 36.37 deg, I 493, (0 2 4)

Structure:
Lattice parameters (Å, degrees): 6.0740 6.0740 28.7972 90.00 90.00 120.00
Space group R-3m (No. 166, hexagonal axes)
Symmetry-distinct sites (fractional):
Li1 0.0000 0.0000 0.0000 (multiplicity 3)
Li2 0.0000 0.5000 0.5000 (multiplicity 9)
Li3 0.0050 0.5025 0.7488 (multiplicity 18)
Mn1 0.0000 0.0000 0.3069 (multiplicity 6)
Mn2 0.0000 0.0000 0.5000 (multiplicity 3)
F1 0.0000 0.0000 0.1281 (multiplicity 6)
F2 0.0000 0.0000 0.3787 (multiplicity 6)
F3 0.0058 0.5029 0.1250 (multiplicity 18)
F4 0.0359 0.5179 0.6226 (multiplicity 18)

---

The following is a theoretical powder XRD pattern of LiMnF5. It was derived from a DFT-relaxed cell (GGA+U, Alexandria), using λ = 1.5418 Å (Cu Kα).
Neutral-atom scattering factors, no anomalous dispersion.

Largest 8 diffraction maxima, by intensity, 10° ≤ 2θ ≤ 90°:
15.79 deg, I 1000, (0 1 1); 23.89 deg, I 857, (1 0 2); 20.91 deg, I 610, (0 1 2); 27.62 deg, I 408, (1 1 2); 22.55 deg, I 282, (1 1 0); 46.48 deg, I 192, (1 2 4); 36.68 deg, I 145, (0 2 3); 48.79 deg, I 134, (1 3 2)

Structure:
Lattice parameters (Å, degrees): 4.973 6.468 11.263 90.00 90.00 90.00
Space group P2_12_12_1 (No. 19)
Symmetry-distinct sites (fractional):
Li1 0.088 0.089 0.204 (multiplicity 4)
Mn1 0.163 0.394 0.581 (multiplicity 4)
F1 0.013 0.654 0.985 (multiplicity 4)
F2 0.039 0.553 0.461 (multiplicity 4)
F3 0.128 0.929 0.828 (multiplicity 4)
F4 0.170 0.391 0.151 (multiplicity 4)
F5 0.178 0.770 0.194 (multiplicity 4)

---

The following is a theoretical powder XRD pattern of LiMn2F5. It was derived from a DFT-relaxed cell (GGA+U, Alexandria), using λ = 1.5418 Å (Cu Kα).
Neutral-atom scattering factors, no anomalous dispersion.

Largest 8 diffraction maxima, by intensity, 10° ≤ 2θ ≤ 90°:
15.92 deg, I 1000, (1 1 0); 31.02 deg, I 916, (1 2 1); 30.08 deg, I 606, (1 0 -2); 28.92 deg, I 586, (3 0 0); 19.13 deg, I 578, (2 0 0); 51.14 deg, I 544, (0 2 3); 49.66 deg, I 516, (4 2 1); 48.62 deg, I 320, (4 0 -2)

Structure:
Lattice parameters (Å, degrees): 9.263 6.962 6.243 90.00 90.83 90.00
Space group P2_1/c (No. 14)
Symmetry-distinct sites (fractional):
Li1 0.121 0.106 0.108 (multiplicity 4)
Mn1 0.148 0.639 0.049 (multiplicity 4)
Mn2 0.470 0.618 0.745 (multiplicity 4)
F1 0.094 0.153 0.464 (multiplicity 4)
F2 0.095 0.587 0.371 (multiplicity 4)
F3 0.238 0.608 0.731 (multiplicity 4)
F4 0.386 0.586 0.102 (multiplicity 4)
F5 0.429 0.157 0.067 (multiplicity 4)

---

The following is a theoretical powder XRD pattern of LiMnF3. It was derived from a DFT-relaxed cell (GGA+U, Alexandria), using λ = 1.5418 Å (Cu Kα).
Neutral-atom scattering factors, no anomalous dispersion.

Largest 8 diffraction maxima, by intensity, 10° ≤ 2θ ≤ 90°:
19.92 deg, I 1000, (1 1 -1); 26.88 deg, I 847, (2 2 0); 43.29 deg, I 723, (3 3 -1); 36.46 deg, I 521, (2 0 2); 23.10 deg, I 337, (2 0 -1); 58.95 deg, I 238, (5 3 1); 53.82 deg, I 228, (4 2 2); 15.14 deg, I 215, (0 0 1)

Structure:
Lattice parameters (Å, degrees): 9.834 8.997 5.857 90.00 92.62 90.00
Space group C2/m (No. 12)
Symmetry-distinct sites (fractional):
Li1 0.000 0.171 0.000 (multiplicity 4)
Li2 0.164 0.000 0.602 (multiplicity 4)
Mn1 0.000 0.313 0.500 (multiplicity 4)
Mn2 0.234 0.500 0.819 (multiplicity 4)
F1 0.099 0.321 0.830 (multiplicity 8)
F2 0.123 0.147 0.357 (multiplicity 8)
F3 0.125 0.000 0.907 (multiplicity 4)
F4 0.141 0.500 0.450 (multiplicity 4)

---

The following is a theoretical powder XRD pattern of Li4MnF7. It was derived from a DFT-relaxed cell (GGA+U, Alexandria), using λ = 1.5418 Å (Cu Kα).
Neutral-atom scattering factors, no anomalous dispersion.

Largest 8 diffraction maxima, by intensity, 10° ≤ 2θ ≤ 90°:
18.20 deg, I 1000, (1 1 1); 21.04 deg, I 722, (2 0 0); 42.84 deg, I 485, (4 0 0); 35.25 deg, I 469, (3 1 1); 62.19 deg, I 393, (4 4 0); 48.19 deg, I 259, (4 2 0); 36.87 deg, I 247, (2 2 2); 56.64 deg, I 217, (5 1 1)

Structure:
Lattice parameters (Å, degrees): 8.445 8.445 8.445 90.00 90.00 90.00
Space group F-43m (No. 216)
Symmetry-distinct sites (fractional):
Li1 0.124 0.124 0.124 (multiplicity 16)
Mn1 0.250 0.250 0.750 (multiplicity 4)
F1 0.000 0.000 0.000 (multiplicity 4)
F2 0.014 0.250 0.750 (multiplicity 24)

---

The following is a theoretical powder XRD pattern of Li3MnF7. It was derived from a DFT-relaxed cell (GGA+U, Alexandria), using λ = 1.5418 Å (Cu Kα).
Neutral-atom scattering factors, no anomalous dispersion.

Largest 8 diffraction maxima, by intensity, 10° ≤ 2θ ≤ 90°:
17.95 deg, I 1000, (1 0 1); 21.32 deg, I 617, (0 1 2); 43.44 deg, I 395, (0 2 4); 19.83 deg, I 205, (0 0 3); 35.47 deg, I 196, (1 1 3); 60.35 deg, I 144, (2 2 0); 34.41 deg, I 125, (0 2 1); 36.37 deg, I 125, (2 0 2)

Structure:
Lattice parameters (Å, degrees): 6.1349 6.1349 13.4312 90.00 90.00 120.00
Space group R3m (No. 160, hexagonal axes)
Symmetry-distinct sites (fractional):
Li1 0.0148 0.5074 0.0000 (multiplicity 9)
Mn1 0.0000 0.0000 0.1127 (multiplicity 3)
F1 0.0000 0.0000 0.3711 (multiplicity 3)
F2 0.0508 0.5254 0.8555 (multiplicity 9)
F3 0.1866 0.3733 0.6982 (multiplicity 9)

---

The following is a theoretical powder XRD pattern of Li3MnF6. It was derived from a DFT-relaxed cell (GGA+U, Alexandria), using λ = 1.5418 Å (Cu Kα).
Neutral-atom scattering factors, no anomalous dispersion.

Largest 8 diffraction maxima, by intensity, 10° ≤ 2θ ≤ 90°:
41.90 deg, I 1000, (1 3 -3); 18.44 deg, I 943, (0 0 2); 20.58 deg, I 843, (1 1 -1); 24.02 deg, I 665, (1 1 1); 26.79 deg, I 502, (0 2 2); 19.26 deg, I 490, (0 2 0); 44.79 deg, I 412, (2 0 2); 31.11 deg, I 306, (1 1 -3)

Structure:
Lattice parameters (Å, degrees): 5.092 9.218 9.882 90.00 103.19 90.00
Space group Cc (No. 9)
Symmetry-distinct sites (fractional):
Li1 0.000 0.054 0.000 (multiplicity 4)
Li2 0.075 0.394 0.177 (multiplicity 4)
Li3 0.430 0.107 0.324 (multiplicity 4)
Mn1 0.002 0.268 0.501 (multiplicity 4)
F1 0.115 0.109 0.391 (multiplicity 4)
F2 0.116 0.424 0.375 (multiplicity 4)
F3 0.150 0.225 0.895 (multiplicity 4)
F4 0.355 0.274 0.607 (multiplicity 4)
F5 0.388 0.394 0.111 (multiplicity 4)
F6 0.389 0.078 0.125 (multiplicity 4)